# 1
The following is a simulated powder diffractogram of NpRh2O6. It was derived from DFT lattice parameters and positions (PBE), using CuKα.
Kinematic intensities with the Lorentz-polarization factor, no thermal factor.

Crystal structure
```
NpRh2O6
1.0
8.952 0.000 0.000
-4.476 7.753 0.000
0.000 0.000 4.592
Np Rh O
3 6 18
direct
0.000 0.000 0.000
0.333 0.667 0.495
0.667 0.333 0.505
0.000 0.339 0.000
0.000 0.673 0.500
0.327 0.327 0.500
0.339 0.000 0.000
0.661 0.661 0.000
0.673 0.000 0.500
0.109 0.224 0.248
0.109 0.561 0.245
0.115 0.891 0.248
0.217 0.442 0.744
0.224 0.109 0.752
0.225 0.783 0.744
0.439 0.548 0.245
0.442 0.217 0.256
0.452 0.891 0.245
0.548 0.439 0.755
0.558 0.775 0.744
0.561 0.109 0.755
0.775 0.558 0.256
0.776 0.885 0.248
0.783 0.225 0.256
0.885 0.776 0.752
0.891 0.115 0.752
0.891 0.452 0.755
```

Top 12 peaks for 10 to 80 degrees two-theta, by angle:
- d = 4.476 Å, I = 37.4
- d = 3.951 Å, I = 85.7
- d = 3.205 Å, I = 92.6
- d = 2.962 Å, I = 50.5
- d = 2.584 Å, I = 100.0
- d = 2.470 Å, I = 55.5
- d = 2.012 Å, I = 24.4
- d = 1.947 Å, I = 24.1
- d = 1.716 Å, I = 89.8
- d = 1.659 Å, I = 20.4
- d = 1.587 Å, I = 22.6
- d = 1.492 Å, I = 32.3

# 2
The following is a simulated powder diffractogram of La2GaCo2. It was derived from DFT lattice parameters and positions (PBE), using CuKα.
Kinematic intensities with the Lorentz-polarization factor, no thermal factor.

Crystal structure
```
La2GaCo2
1.0
4.788 -2.814 0.000
4.788 2.814 0.000
-1.942 0.000 7.524
La Ga Co
4 2 4
direct
0.009 0.702 0.854
0.298 0.991 0.646
0.702 0.009 0.354
0.991 0.298 0.146
0.371 0.629 0.250
0.629 0.371 0.750
0.219 0.501 0.495
0.499 0.781 0.005
0.501 0.219 0.995
0.781 0.499 0.505
```

Top 12 peaks for 10 to 80 degrees two-theta, by angle:
- d = 3.361 Å, I = 39.1
- d = 2.793 Å, I = 27.3
- d = 2.748 Å, I = 67.5
- d = 2.636 Å, I = 95.1
- d = 2.619 Å, I = 70.2
- d = 2.470 Å, I = 46.8
- d = 2.385 Å, I = 93.5
- d = 2.353 Å, I = 100.0
- d = 2.318 Å, I = 33.6
- d = 2.210 Å, I = 62.7
- d = 1.635 Å, I = 31.0
- d = 1.387 Å, I = 42.6

# 3
The following is a simulated powder diffractogram of TbEr4Tm7. It was derived from DFT lattice parameters and positions (PBE), using CuKα.
Kinematic intensities with the Lorentz-polarization factor, no thermal factor.

Crystal structure
```
TbEr4Tm7
1.0
6.417 0.000 0.000
1.029 6.621 0.000
2.048 0.464 8.622
Tb Er Tm
1 4 7
direct
0.000 0.000 0.000
0.164 0.617 0.312
0.361 0.194 0.712
0.639 0.806 0.288
0.836 0.383 0.688
0.000 0.500 0.000
0.188 0.108 0.387
0.318 0.704 0.643
0.483 0.250 0.050
0.517 0.750 0.950
0.682 0.296 0.357
0.812 0.892 0.613
```

Top 12 peaks for 10 to 80 degrees two-theta, by angle:
- d = 2.874 Å, I = 42.6
- d = 2.825 Å, I = 47.0
- d = 2.777 Å, I = 58.0
- d = 2.762 Å, I = 72.2
- d = 2.728 Å, I = 100.0
- d = 2.690 Å, I = 21.5
- d = 2.519 Å, I = 12.9
- d = 2.048 Å, I = 18.9
- d = 1.940 Å, I = 12.7
- d = 1.920 Å, I = 15.4
- d = 1.671 Å, I = 11.2
- d = 1.608 Å, I = 17.0

# 4
The following is a simulated powder diffractogram of Pu4Ga2Pt5. It was derived from DFT lattice parameters and positions (PBE), using CuKα.
Kinematic intensities with the Lorentz-polarization factor, no thermal factor.

Crystal structure
```
Pu4Ga2Pt5
1.0
7.246 0.000 0.000
0.000 3.910 0.000
-0.205 0.000 8.263
Pu Ga Pt
4 2 5
direct
0.222 0.000 0.363
0.265 0.000 0.879
0.735 0.000 0.121
0.778 0.000 0.637
0.419 0.500 0.628
0.581 0.500 0.372
0.000 0.500 0.000
0.075 0.500 0.658
0.368 0.500 0.128
0.632 0.500 0.872
0.925 0.500 0.342
```

Top 12 peaks for 10 to 80 degrees two-theta, by angle:
- d = 3.624 Å, I = 8.3
- d = 2.658 Å, I = 100.0
- d = 2.629 Å, I = 42.7
- d = 2.516 Å, I = 9.2
- d = 2.163 Å, I = 9.3
- d = 2.108 Å, I = 19.8
- d = 2.064 Å, I = 24.5
- d = 1.955 Å, I = 20.9
- d = 1.644 Å, I = 15.6
- d = 1.433 Å, I = 12.3
- d = 1.420 Å, I = 8.8
- d = 1.226 Å, I = 9.4

# 5
The following is a simulated powder diffractogram of SrHg5Sb2. It was derived from DFT lattice parameters and positions (PBE), using CuKα.
Kinematic intensities with the Lorentz-polarization factor, no thermal factor.

Crystal structure
```
SrHg5Sb2
1.0
3.352 -5.333 0.000
3.352 5.333 0.000
-0.105 0.000 6.478
Sr Hg Sb
1 5 2
direct
0.000 0.000 0.000
0.012 0.507 0.243
0.493 0.988 0.757
0.500 0.500 0.000
0.507 0.012 0.243
0.988 0.493 0.757
0.214 0.214 0.504
0.786 0.786 0.496
```

Top 12 peaks for 10 to 80 degrees two-theta, by angle:
- d = 3.351 Å, I = 24.3
- d = 2.837 Å, I = 48.1
- d = 2.768 Å, I = 100.0
- d = 2.666 Å, I = 45.4
- d = 2.612 Å, I = 19.7
- d = 2.348 Å, I = 13.4
- d = 2.310 Å, I = 13.0
- d = 2.149 Å, I = 13.9
- d = 2.120 Å, I = 14.5
- d = 2.086 Å, I = 13.4
- d = 1.558 Å, I = 17.9
- d = 1.418 Å, I = 14.7

# 6
The following is a simulated powder diffractogram of Pu3Cd4Ag2. It was derived from DFT lattice parameters and positions (PBE), using CuKα.
Kinematic intensities with the Lorentz-polarization factor, no thermal factor.

Crystal structure
```
Pu3Cd4Ag2
1.0
4.482 -7.777 0.000
4.482 7.777 0.000
0.000 0.000 5.347
Pu Cd Ag
6 8 4
direct
0.000 0.000 0.250
0.000 0.000 0.750
0.333 0.667 0.250
0.333 0.667 0.750
0.667 0.333 0.250
0.667 0.333 0.750
0.005 0.671 0.000
0.328 0.333 0.500
0.329 0.995 0.500
0.333 0.328 0.000
0.667 0.672 0.000
0.671 0.005 0.500
0.672 0.667 0.500
0.995 0.329 0.000
0.000 0.338 0.500
0.000 0.662 0.500
0.338 0.000 0.000
0.662 0.000 0.000
```

Top 12 peaks for 10 to 80 degrees two-theta, by angle:
- d = 4.486 Å, I = 25.3
- d = 2.590 Å, I = 100.0
- d = 2.297 Å, I = 80.9
- d = 2.243 Å, I = 4.6
- d = 1.718 Å, I = 33.3
- d = 1.696 Å, I = 4.2
- d = 1.495 Å, I = 18.2
- d = 1.432 Å, I = 36.4
- d = 1.337 Å, I = 4.2
- d = 1.296 Å, I = 3.7
- d = 1.294 Å, I = 7.4
- d = 1.281 Å, I = 1.8

Repeat the second record exactly.
The following is a simulated powder diffractogram of La2GaCo2. It was derived from DFT lattice parameters and positions (PBE), using CuKα.
Kinematic intensities with the Lorentz-polarization factor, no thermal factor.

Crystal structure
```
La2GaCo2
1.0
4.788 -2.814 0.000
4.788 2.814 0.000
-1.942 0.000 7.524
La Ga Co
4 2 4
direct
0.009 0.702 0.854
0.298 0.991 0.646
0.702 0.009 0.354
0.991 0.298 0.146
0.371 0.629 0.250
0.629 0.371 0.750
0.219 0.501 0.495
0.499 0.781 0.005
0.501 0.219 0.995
0.781 0.499 0.505
```

Top 12 peaks for 10 to 80 degrees two-theta, by angle:
- d = 3.361 Å, I = 39.1
- d = 2.793 Å, I = 27.3
- d = 2.748 Å, I = 67.5
- d = 2.636 Å, I = 95.1
- d = 2.619 Å, I = 70.2
- d = 2.470 Å, I = 46.8
- d = 2.385 Å, I = 93.5
- d = 2.353 Å, I = 100.0
- d = 2.318 Å, I = 33.6
- d = 2.210 Å, I = 62.7
- d = 1.635 Å, I = 31.0
- d = 1.387 Å, I = 42.6